Record 1
Simulated powder diffractogram
Compound: CuBiPd2Se2
Radiation: Cu Kα X-rays
Structure: a crystal structure in Alexandria, relaxed with PBE
Peak positions follow from Bragg's law for the DFT cell and can differ from measured ones.

Structure:
```
CuBiPd2Se2
1.0
2.0609 1.1899 9.7441
-2.0609 1.1899 9.7441
0.0000 -2.3797 9.7441
Cu Bi Pd Se
1 1 2 2
Cartesian
0.0000 0.0000 0.0000 Cu
0.0000 0.0000 14.6162 Bi
0.0000 0.0000 6.5968 Pd
0.0000 0.0000 22.6356 Pd
0.0000 0.0000 2.2708 Se
0.0000 0.0000 26.9616 Se
```

Most intense lines, 10° ≤ 2θ ≤ 90°, low angle first:
2θ (°), d [Å], I_rel
25.69, 3.468, 192
27.82, 3.207, 1000
33.01, 2.713, 955
35.15, 2.553, 193
39.86, 2.262, 214
43.93, 2.061, 793
50.65, 1.802, 344
56.03, 1.641, 213
58.68, 1.573, 211
73.81, 1.284, 191



Record 2
Simulated powder diffractogram
Compound: Ac2Si2Ni2N
Radiation: Cu Kα X-rays
Structure: a crystal structure in Alexandria, relaxed with PBE
Peak positions follow from Bragg's law for the DFT cell and can differ from measured ones.

Structure:
```
Ac2Si2Ni2N
1.0
5.7163 -2.0256 0.0000
5.7163 2.0256 0.0000
-4.1197 0.0000 5.8618
Ac Si Ni N
2 2 2 1
Cartesian
-0.7008 0.0000 1.8059 Ac
8.0137 0.0000 4.0559 Ac
-0.2655 0.0000 5.2647 Si
7.5785 0.0000 0.5971 Si
2.5640 0.0000 1.3884 Ni
4.7489 0.0000 4.4734 Ni
3.6565 0.0000 2.9309 N
```

Most intense lines, 10° ≤ 2θ ≤ 90°, low angle first:
2θ (°), d [Å], I_rel
18.98, 4.677, 382
23.94, 3.718, 1000
24.90, 3.575, 415
30.52, 2.929, 757
31.30, 2.858, 622
32.03, 2.794, 414
34.36, 2.610, 590
35.26, 2.545, 920
36.36, 2.471, 521
44.74, 2.026, 352



Record 3
Simulated powder diffractogram
Compound: Mo8Os7
Radiation: Cu Kα X-rays
Structure: a crystal structure in Alexandria, relaxed with PBE
Peak positions follow from Bragg's law for the DFT cell and can differ from measured ones.

Structure:
```
Mo8Os7
1.0
9.6463 0.0000 0.0000
0.0000 9.6463 0.0000
0.0000 0.0000 4.9386
Mo Os
16 14
Cartesian
0.3752 3.5370 0.0000 Mo
1.2861 5.1983 2.4693 Mo
1.7248 7.9215 1.2327 Mo
1.7248 7.9215 3.7059 Mo
3.0984 3.0984 1.2366 Mo
3.0984 3.0984 3.7020 Mo
3.5370 0.3752 0.0000 Mo
4.4479 8.3602 2.4693 Mo
5.1983 1.2861 2.4693 Mo
6.1092 9.2711 0.0000 Mo
6.5479 6.5479 1.2366 Mo
6.5479 6.5479 3.7020 Mo
7.9215 1.7248 1.2327 Mo
7.9215 1.7248 3.7059 Mo
8.3602 4.4479 2.4693 Mo
9.2711 6.1092 0.0000 Mo
0.0000 0.0000 2.4693 Os
0.6762 2.5456 2.4693 Os
0.9356 0.9356 0.0000 Os
2.2775 5.4993 0.0000 Os
2.5456 0.6762 2.4693 Os
3.8876 5.7587 2.4693 Os
4.1470 7.3688 0.0000 Os
4.8231 4.8231 0.0000 Os
5.4993 2.2775 0.0000 Os
5.7587 3.8876 2.4693 Os
7.1006 8.9701 2.4693 Os
7.3688 4.1470 0.0000 Os
8.7107 8.7107 0.0000 Os
8.9701 7.1006 2.4693 Os
```

Most intense lines, 10° ≤ 2θ ≤ 90°, low angle first:
2θ (°), d [Å], I_rel
12.98, 6.821, 167
36.38, 2.469, 333
38.48, 2.340, 714
39.64, 2.274, 230
41.07, 2.198, 189
42.17, 2.143, 591
42.77, 2.114, 1000
43.84, 2.065, 672
69.84, 1.347, 365
70.64, 1.334, 189



Record 4
Simulated powder diffractogram
Compound: Nd2Cu5Ni5
Radiation: Cu Kα X-rays
Structure: a crystal structure in Alexandria, relaxed with PBE
Peak positions follow from Bragg's law for the DFT cell and can differ from measured ones.

Structure:
```
Nd2Cu5Ni5
1.0
3.9796 0.0000 0.0000
0.0000 5.0701 0.0000
0.0000 0.0000 8.7551
Nd Cu Ni
2 5 5
Cartesian
0.0000 0.0000 0.0000 Nd
0.0000 2.5350 4.3776 Nd
0.0000 0.0000 2.8889 Cu
0.0000 0.0000 5.8662 Cu
0.0000 2.5350 1.4642 Cu
0.0000 2.5350 7.2909 Cu
1.9898 0.0000 4.3776 Cu
1.9898 1.2714 2.1747 Ni
1.9898 1.2714 6.5804 Ni
1.9898 2.5350 0.0000 Ni
1.9898 3.7987 2.1747 Ni
1.9898 3.7987 6.5804 Ni
```

Most intense lines, 10° ≤ 2θ ≤ 90°, low angle first:
2θ (°), d [Å], I_rel
30.33, 2.947, 409
35.46, 2.531, 319
41.18, 2.192, 331
42.32, 2.136, 1000
45.59, 1.990, 253
59.05, 1.564, 142
63.10, 1.473, 180
68.33, 1.373, 151
75.12, 1.265, 105
82.01, 1.175, 133



Record 5
Simulated powder diffractogram
Compound: AcSm7Er4
Radiation: Cu Kα X-rays
Structure: a crystal structure in Alexandria, relaxed with PBE
Peak positions follow from Bragg's law for the DFT cell and can differ from measured ones.

Structure:
```
AcSm7Er4
1.0
6.3128 0.0000 0.0000
-0.0043 7.2989 0.0000
-2.1241 -0.0118 8.7370
Ac Sm Er
1 7 4
Cartesian
0.0000 0.0000 0.0000 Ac
-0.0021 3.6494 0.0000 Sm
0.0119 7.2878 5.7792 Sm
1.0602 5.4381 2.9513 Sm
3.1532 1.8698 0.0087 Sm
1.0312 5.4173 8.7284 Sm
3.1243 1.8490 5.7857 Sm
4.1725 -0.0008 2.9578 Sm
-0.0382 3.6377 5.8036 Er
1.0492 1.8700 2.9395 Er
3.1352 5.4170 5.7975 Er
4.2226 3.6493 2.9335 Er
```

Most intense lines, 10° ≤ 2θ ≤ 90°, low angle first:
2θ (°), d [Å], I_rel
28.46, 3.136, 403
29.08, 3.071, 122
30.70, 2.912, 510
31.44, 2.845, 1000
33.11, 2.705, 936
50.02, 1.824, 394
53.98, 1.699, 135
57.16, 1.611, 140
59.83, 1.546, 307
60.25, 1.536, 105



Record 6
Simulated powder diffractogram
Compound: EuAg3
Radiation: Cu Kα X-rays
Structure: a crystal structure in Alexandria, relaxed with PBE
Peak positions follow from Bragg's law for the DFT cell and can differ from measured ones.

Structure:
```
EuAg3
1.0
3.2726 0.0000 0.0000
0.0000 4.9443 0.0000
0.0000 0.0000 5.5393
Eu Ag
1 3
Cartesian
0.0000 0.0000 0.0000 Eu
0.0000 2.4722 3.5115 Ag
1.6363 0.0000 2.7906 Ag
1.6363 2.4722 1.1284 Ag
```

Most intense lines, 10° ≤ 2θ ≤ 90°, low angle first:
2θ (°), d [Å], I_rel
31.76, 2.818, 255
32.32, 2.770, 115
36.34, 2.472, 350
36.71, 2.448, 1000
37.21, 2.416, 454
49.02, 1.858, 147
57.30, 1.608, 173
65.63, 1.423, 173
69.36, 1.355, 138
69.76, 1.348, 160



Record 7
Simulated powder diffractogram
Compound: La2Tm6Mg
Radiation: Cu Kα X-rays
Structure: a crystal structure in Alexandria, relaxed with PBE
Peak positions follow from Bragg's law for the DFT cell and can differ from measured ones.

Structure:
```
La2Tm6Mg
1.0
9.9448 0.0000 0.0000
0.0000 10.2813 0.0000
0.0000 0.0000 5.4346
La Tm Mg
4 12 2
Cartesian
1.8861 2.4175 0.0000 La
3.0863 7.5581 2.7173 La
6.8585 2.7232 2.7173 La
8.0587 7.8639 0.0000 La
0.1470 3.3927 2.7173 Tm
1.4272 9.1242 0.0000 Tm
1.7033 5.7489 0.0000 Tm
3.2691 0.6083 2.7173 Tm
3.5452 3.9835 2.7173 Tm
4.8254 8.5334 0.0000 Tm
5.1194 1.7480 0.0000 Tm
6.3996 6.2978 2.7173 Tm
6.6757 9.6730 2.7173 Tm
8.2415 4.5324 0.0000 Tm
8.5176 1.1571 0.0000 Tm
9.7978 6.8886 2.7173 Tm
0.0000 0.0000 2.7173 Mg
4.9724 5.1407 0.0000 Mg
```

Most intense lines, 10° ≤ 2θ ≤ 90°, low angle first:
2θ (°), d [Å], I_rel
30.85, 2.899, 303
31.64, 2.828, 1000
32.16, 2.783, 535
32.96, 2.717, 376
37.76, 2.383, 163
45.04, 2.013, 95
46.39, 1.957, 175
50.97, 1.792, 138
58.02, 1.590, 134
58.36, 1.581, 93



Record 8
Simulated powder diffractogram
Compound: Tm12Ga6Fe
Radiation: Cu Kα X-rays
Structure: a crystal structure in Alexandria, relaxed with PBE
Peak positions follow from Bragg's law for the DFT cell and can differ from measured ones.

Structure:
```
Tm12Ga6Fe
1.0
6.2401 3.6027 3.9156
-6.2401 3.6027 3.9156
0.0000 -7.2054 3.9156
Tm Ga Fe
12 6 1
Cartesian
-4.1151 -4.1414 6.4673 Tm
-5.6441 1.4931 5.2796 Tm
-1.5422 -1.8871 4.6347 Tm
1.5290 -5.6344 5.2796 Tm
-0.8631 2.2791 4.6347 Tm
-2.4053 0.3920 7.1122 Tm
2.4053 -0.3920 4.6347 Tm
0.8631 -2.2791 7.1122 Tm
-1.5290 5.6344 6.4673 Tm
1.5422 1.8870 7.1122 Tm
5.6441 -1.4931 6.4673 Tm
4.1151 4.1414 5.2796 Tm
-3.0772 0.5563 4.1625 Ga
1.0568 -2.9431 4.1625 Ga
-2.0204 -2.3868 7.5844 Ga
2.0204 2.3868 4.1625 Ga
-1.0568 2.9431 7.5844 Ga
3.0772 -0.5563 7.5844 Ga
0.0000 0.0000 0.0000 Fe
```

Most intense lines, 10° ≤ 2θ ≤ 90°, low angle first:
2θ (°), d [Å], I_rel
23.05, 3.858, 237
24.71, 3.603, 229
26.58, 3.354, 1000
28.61, 3.120, 214
31.57, 2.834, 483
33.56, 2.670, 697
37.73, 2.384, 782
38.16, 2.359, 758
54.74, 1.677, 267
55.40, 1.658, 214